K2Fe3F9: calculated powder XRD pattern (Cu Ka), based on DFT lattice parameters and positions (PBE+U).
Peak positions follow from Bragg's law for the DFT cell and can differ from measured ones.

Structural model:
abc: 7.1382 8.6763 9.0769
angles: 66.73 69.71 67.38
Space group P-1 (No. 2)
Symmetry-distinct sites (fractional):
K  0.0143  0.4820  0.2723
K  0.1812  0.9874  0.7930
Fe  0.0000  0.0000  0.5000
Fe  0.2976  0.1644  0.0077
Fe  0.4632  0.3289  0.4952
Fe  0.5000  0.5000  0.0000
F  0.0266  0.2163  0.9588
F  0.1044  0.1159  0.2710
F  0.2099  0.2837  0.5196
F  0.2802  0.4077  0.0216
F  0.3037  0.8820  0.5290
F  0.3132  0.5774  0.5048
F  0.4006  0.9025  0.9918
F  0.4091  0.2455  0.7302
F  0.4866  0.4026  0.2517

Peak list (12 most intense, 2θ = 5–70°, most intense first)
d = 4.335 Å, I = 1000; d = 4.214 Å, I = 743; d = 4.058 Å, I = 741; d = 2.669 Å, I = 653; d = 2.029 Å, I = 597; d = 3.211 Å, I = 412; d = 3.852 Å, I = 405; d = 2.875 Å, I = 325; d = 3.968 Å, I = 284; d = 2.300 Å, I = 281; d = 2.318 Å, I = 267; d = 2.936 Å, I = 262